Entry 1:
Diffraction record for Y3ReO8. The X-ray diffraction stick pattern is simulated, not measured: it uses a GGA-PBE-relaxed structure and copper Kα.
Intensities are scaled so that the largest is 100.

The 10 most intense peaks (2θ from 10° to 80°), in order of falling intensity:
2θ/deg  Rel. int.
30.57  100
29.72  33
19.85  24
25.05  23
29.18  22
37.26  17
53.28  16
44.72  16
57.63  13
54.62  12

Structure:
```
Y3ReO8
1.0
7.185 0.000 0.000
0.000 6.012 0.000
-5.225 0.000 13.388
Y Re O
12 4 32
direct
0.095 0.240 0.202
0.095 0.260 0.702
0.162 0.198 0.446
0.162 0.302 0.946
0.394 0.685 0.335
0.394 0.815 0.835
0.606 0.185 0.165
0.606 0.315 0.665
0.838 0.698 0.054
0.838 0.802 0.554
0.905 0.740 0.298
0.905 0.760 0.798
0.321 0.746 0.091
0.321 0.754 0.591
0.679 0.246 0.409
0.679 0.254 0.909
0.085 0.694 0.979
0.085 0.806 0.479
0.146 0.030 0.843
0.146 0.470 0.343
0.167 0.643 0.171
0.167 0.857 0.671
0.189 0.530 0.827
0.189 0.970 0.327
0.246 0.047 0.096
0.246 0.453 0.596
0.383 0.054 0.588
0.383 0.446 0.088
0.464 0.204 0.784
0.464 0.296 0.284
0.483 0.693 0.521
0.483 0.807 0.021
0.517 0.193 0.979
0.517 0.307 0.479
0.536 0.704 0.716
0.536 0.796 0.216
0.617 0.554 0.912
0.617 0.946 0.412
0.754 0.547 0.404
0.754 0.953 0.904
0.811 0.030 0.673
0.811 0.470 0.173
0.833 0.143 0.329
0.833 0.357 0.829
0.854 0.530 0.657
0.854 0.970 0.157
0.915 0.194 0.521
0.915 0.306 0.021
```

Entry 2:
Diffraction record for BaHoNO. The X-ray diffraction stick pattern is simulated, not measured: it uses a GGA-PBE-relaxed structure and copper Kα.
Intensities are scaled so that the largest is 100.

The 10 most intense peaks (2θ from 10° to 80°), in order of falling intensity:
2θ/deg  Rel. int.
28.85  100
30.51  40
29.41  39
24.75  29
51.82  24
55.48  24
45.93  23
26.65  17
53.11  16
38.81  15

Structure:
```
BaHoNO
1.0
6.689 0.000 0.000
0.000 8.532 0.000
0.000 0.000 6.074
Ba Ho N O
4 4 4 4
direct
0.070 0.133 0.000
0.430 0.133 0.500
0.570 0.867 0.000
0.930 0.867 0.500
0.086 0.607 0.984
0.414 0.607 0.484
0.586 0.393 0.984
0.914 0.393 0.484
0.032 0.169 0.552
0.468 0.169 0.052
0.532 0.831 0.552
0.968 0.831 0.052
0.111 0.577 0.624
0.389 0.577 0.124
0.611 0.423 0.624
0.889 0.423 0.124
```

Entry 3:
Diffraction record for RbGd2Cu3TeSe4. The X-ray diffraction stick pattern is simulated, not measured: it uses a GGA-PBE-relaxed structure and copper Kα.
Intensities are scaled so that the largest is 100.

The 10 most intense peaks (2θ from 10° to 80°), in order of falling intensity:
2θ/deg  Rel. int.
28.57  100
30.40  97
29.91  94
34.82  79
28.11  75
43.11  74
45.98  69
12.16  56
37.59  53
37.81  45

Structure:
```
RbGd2Cu3TeSe4
1.0
2.099 -7.281 0.000
2.099 7.281 0.000
0.000 0.000 17.643
Rb Gd Cu Te Se
2 4 6 2 8
direct
0.050 0.950 0.750
0.950 0.050 0.250
0.189 0.811 0.087
0.189 0.811 0.413
0.811 0.189 0.587
0.811 0.189 0.913
0.346 0.654 0.750
0.414 0.586 0.029
0.414 0.586 0.471
0.586 0.414 0.529
0.586 0.414 0.971
0.654 0.346 0.250
0.252 0.748 0.250
0.748 0.252 0.750
0.165 0.835 0.572
0.165 0.835 0.928
0.442 0.558 0.613
0.442 0.558 0.887
0.558 0.442 0.113
0.558 0.442 0.387
0.835 0.165 0.072
0.835 0.165 0.428
```

Entry 4:
Diffraction record for Cd6CuN. The X-ray diffraction stick pattern is simulated, not measured: it uses a GGA-PBE-relaxed structure and copper Kα.
Intensities are scaled so that the largest is 100.

The 10 most intense peaks (2θ from 10° to 80°), in order of falling intensity:
2θ/deg  Rel. int.
35.13  100
40.67  70
34.73  34
70.44  23
59.14  22
58.60  21
70.68  11
69.95  11
74.25  10
27.45  6

Structure:
```
Cd6CuN
1.0
4.133 2.386 2.583
-4.133 2.386 2.583
0.000 -4.773 2.583
Cd Cu N
6 1 1
direct
0.074 0.628 0.760
0.240 0.926 0.372
0.372 0.240 0.926
0.628 0.760 0.074
0.760 0.074 0.628
0.926 0.372 0.240
0.500 0.500 0.500
0.000 0.000 0.000
```

Entry 5:
Diffraction record for Li2AgHg. The X-ray diffraction stick pattern is simulated, not measured: it uses a GGA-PBE-relaxed structure and copper Kα.
Intensities are scaled so that the largest is 100.

The 10 most intense peaks (2θ from 10° to 80°), in order of falling intensity:
2θ/deg  Rel. int.
26.07  100
28.38  81
38.92  80
39.40  77
29.01  77
49.27  71
41.04  69
69.68  29
20.19  28
73.03  27

Structure:
```
Li2AgHg
1.0
6.289 0.000 0.000
0.000 6.836 0.000
0.000 0.000 6.155
Li Ag Hg
8 4 4
direct
0.250 0.001 0.250
0.250 0.499 0.250
0.250 0.501 0.750
0.250 0.999 0.750
0.750 0.001 0.250
0.750 0.499 0.250
0.750 0.501 0.750
0.750 0.999 0.750
0.000 0.250 0.501
0.000 0.750 0.499
0.500 0.250 0.999
0.500 0.750 0.001
0.000 0.250 0.000
0.000 0.750 0.000
0.500 0.250 0.500
0.500 0.750 0.500
```

Entry 6:
Diffraction record for Lu4InGe4Pd2. The X-ray diffraction stick pattern is simulated, not measured: it uses a GGA-PBE-relaxed structure and copper Kα.
Intensities are scaled so that the largest is 100.

The 10 most intense peaks (2θ from 10° to 80°), in order of falling intensity:
2θ/deg  Rel. int.
33.21  100
36.05  71
34.75  60
36.18  58
43.36  52
37.04  35
34.55  26
42.28  24
40.14  23
38.04  20

Structure:
```
Lu4InGe4Pd2
1.0
7.810 -2.087 0.000
7.810 2.087 0.000
-2.098 0.000 6.763
Lu In Ge Pd
4 1 4 2
direct
0.087 0.087 0.381
0.157 0.157 0.921
0.843 0.843 0.079
0.913 0.913 0.619
0.500 0.500 0.000
0.312 0.312 0.770
0.438 0.438 0.339
0.562 0.562 0.661
0.688 0.688 0.230
0.281 0.281 0.372
0.719 0.719 0.628
```